Structure and theoretical PXRD pattern of La2AlSn3 (a structure optimized by DFT (PBE); CuKα).
Neutral-atom scattering factors, no anomalous dispersion.

The 12 most intense peaks (15° ≤ 2θ ≤ 90°), in order of rising 2θ:
2θ 29.20, intensity 464, (1 0 2)
2θ 30.28, intensity 1000, (1 1 1)
2θ 36.52, intensity 533, (0 1 3)
2θ 39.15, intensity 235, (0 2 0)
2θ 42.18, intensity 191, (2 0 0)
2θ 46.70, intensity 164, (1 0 4)
2θ 49.57, intensity 216, (1 2 2)
2θ 57.00, intensity 309, (2 1 3)
2θ 58.90, intensity 145, (2 2 0)
2θ 62.52, intensity 134, (1 2 4)
2θ 65.50, intensity 112, (1 3 1)
2θ 69.22, intensity 125, (0 3 3)

Crystal structure
a = 4.285 Å, b = 4.602 Å, c = 8.733 Å
α = 90.00°, β = 90.00°, γ = 90.00°
Fractional coordinates of all 6 atoms:
La1 0.000 0.000 0.000
La2 0.000 0.500 0.485
Al1 0.500 0.000 0.326
Sn1 0.500 0.000 0.634
Sn2 0.500 0.500 0.174
Sn3 0.500 0.500 0.834